Calculated X-ray powder pattern of Pm4Rh for Cu Kα X-rays, from a GGA-PBE-relaxed structure.

Peak list (6 most intense, 10 to 80 degrees two-theta, sorted by position)
h k l	2θ/deg	d (Å)	intensity
2 2 0	28.96	3.083	330
2 0 2	29.52	3.026	1000
3 0 1	32.59	2.747	538
1 0 3	33.60	2.667	407
3 2 1	38.74	2.324	280
4 0 0	41.41	2.180	220

Structure:
```
data_Pm4Rh
_symmetry_space_group_name_H-M 'I -4 2 d'
_symmetry_Int_Tables_number 122
_symmetry_space_group_name_Hall 'I -4 2bw'
_cell_length_a 8.721
_cell_length_b 8.721
_cell_length_c 8.403
_cell_angle_alpha 90.00
_cell_angle_beta 90.00
_cell_angle_gamma 90.00
loop_
_atom_site_label
_atom_site_type_symbol
_atom_site_fract_x
_atom_site_fract_y
_atom_site_fract_z
Pm1 Pm 0.003 0.199 0.334
Rh1 Rh 0.000 0.000 0.000
```

Calculated X-ray powder pattern of Si6Tc2Mo for Cu Kα X-rays, from a GGA-PBE-relaxed structure.

Peak list (6 most intense, 10 to 80 degrees two-theta, sorted by position)
h k l	2θ/deg	d (Å)	intensity
1 1 1	26.13	3.411	802
0 0 3	40.75	2.214	562
2 0 1	41.47	2.178	441
1 3 1	41.99	2.152	1000
2 0 2	48.04	1.894	378
1 3 2	48.51	1.877	548

Structure:
```
data_Si6Tc2Mo
_symmetry_space_group_name_H-M 'C 2 2 2'
_symmetry_Int_Tables_number 21
_symmetry_space_group_name_Hall 'C 2 2'
_cell_length_a 4.610
_cell_length_b 7.845
_cell_length_c 6.643
_cell_angle_alpha 90.00
_cell_angle_beta 90.00
_cell_angle_gamma 90.00
loop_
_atom_site_label
_atom_site_type_symbol
_atom_site_fract_x
_atom_site_fract_y
_atom_site_fract_z
Si1 Si 0.000 0.165 0.000
Si2 Si 0.248 0.083 0.663
Tc1 Tc 0.250 0.250 0.317
Mo1 Mo 0.000 0.500 0.000
```

Calculated X-ray powder pattern of Sr4Li3 for Cu Kα X-rays, from a GGA-PBE-relaxed structure.

Peak list (6 most intense, 10 to 80 degrees two-theta, sorted by position)
h k l	2θ/deg	d (Å)	intensity
1 1 -1	18.79	4.723	420
1 1 1	23.23	3.829	706
0 0 2	26.06	3.419	542
3 1 0	26.48	3.366	910
3 1 -2	28.74	3.106	1000
0 2 0	30.17	2.962	457

Structure:
```
data_Sr4Li3
_symmetry_space_group_name_H-M 'C 1 2/m 1'
_symmetry_Int_Tables_number 12
_symmetry_space_group_name_Hall '-C 2y'
_cell_length_a 14.080
_cell_length_b 5.924
_cell_length_c 7.846
_cell_angle_alpha 90.00
_cell_angle_beta 119.38
_cell_angle_gamma 90.00
loop_
_atom_site_label
_atom_site_type_symbol
_atom_site_fract_x
_atom_site_fract_y
_atom_site_fract_z
Sr1 Sr 0.033 0.000 0.278
Sr2 Sr 0.185 0.500 0.777
Li1 Li 0.000 0.500 0.000
Li2 Li 0.208 0.500 0.325
```

Calculated X-ray powder pattern of ScZn2B2C for Cu Kα X-rays, from a GGA-PBE-relaxed structure.

Peak list (6 most intense, 10 to 80 degrees two-theta, sorted by position)
h k l	2θ/deg	d (Å)	intensity
0 0 1	15.51	5.711	618
0 0 2	31.32	2.856	545
0 2 1	39.51	2.281	1000
2 0 -2	39.67	2.272	332
2 2 -1	52.05	1.757	327
2 0 2	61.29	1.512	255

Structure:
```
data_ScZn2B2C
_symmetry_space_group_name_H-M 'C 1 2/m 1'
_symmetry_Int_Tables_number 12
_symmetry_space_group_name_Hall '-C 2y'
_cell_length_a 4.962
_cell_length_b 4.977
_cell_length_c 6.218
_cell_angle_alpha 90.00
_cell_angle_beta 113.28
_cell_angle_gamma 90.00
loop_
_atom_site_label
_atom_site_type_symbol
_atom_site_fract_x
_atom_site_fract_y
_atom_site_fract_z
Sc1 Sc 0.000 0.000 0.000
Zn1 Zn 0.000 0.250 0.500
B1 B 0.131 0.500 0.256
C1 C 0.000 0.500 0.000
```

Calculated X-ray powder pattern of TbPm6Tl5 for Cu Kα X-rays, from a GGA-PBE-relaxed structure.

Peak list (6 most intense, 10 to 80 degrees two-theta, sorted by position)
h k l	2θ/deg	d (Å)	intensity
1 2 3	31.64	2.828	1000
0 0 6	34.85	2.575	181
2 0 0	35.31	2.542	195
0 4 0	39.77	2.267	133
1 2 9	60.48	1.531	130
3 2 3	61.09	1.517	155

Structure:
```
data_TbPm6Tl5
_symmetry_space_group_name_H-M 'I m m m'
_symmetry_Int_Tables_number 71
_symmetry_space_group_name_Hall '-I 2 2'
_cell_length_a 5.084
_cell_length_b 9.066
_cell_length_c 15.448
_cell_angle_alpha 90.00
_cell_angle_beta 90.00
_cell_angle_gamma 90.00
loop_
_atom_site_label
_atom_site_type_symbol
_atom_site_fract_x
_atom_site_fract_y
_atom_site_fract_z
Tb1 Tb 0.000 0.000 0.000
Pm1 Pm 0.000 0.231 0.500
Pm2 Pm 0.000 0.262 0.171
Tl1 Tl 0.000 0.000 0.325
Tl2 Tl 0.000 0.500 0.000
Tl3 Tl 0.000 0.500 0.351
```